Diffraction record for YUCu4Si4. The XRD peak list is simulated, not measured: it uses a cell relaxed with PBE and Cu Kα, 1.54184 Å.
Lines closer than 0.1° are merged.

Cell and atoms:
Cell: 3.971 3.971 9.982 Å, 90.00 90.00 90.00°
Space group P4/mmm (No. 123)
Asymmetric unit:
Y 0.000 0.000 0.000 x1
U 0.500 0.500 0.500 x1
Cu 0.000 0.500 0.249 x4
Si 0.000 0.000 0.384 x2
Si 0.500 0.500 0.119 x2

Main lines, in order of rising 2θ (2θ = 10–90°):
2theta  I/Imax
24.12  41.7
35.19  45.7
35.99  16.8
36.72  100.0
45.69  36.4
51.21  18.0
58.95  20.7
59.49  15.2
65.18  15.6
66.60  11.5
71.04  13.8
78.54  20.9